Diffraction record for Hf5SbC. The powder X-ray diffraction pattern is theoretical, not measured: it uses a DFT-relaxed cell (GGA-PBE, Alexandria) and copper Kα.
Neutral-atom scattering factors, no anomalous dispersion.

Most intense lines, 2θ = 10–90°, in order of rising 2θ:
| d (Å) | Position (°2θ) | I (rel.) |
| --- | --- | --- |
| 2.980 | 30.0 | 58 |
| 2.726 | 32.9 | 57 |
| 2.623 | 34.2 | 100 |
| 2.562 | 35.0 | 95 |
| 2.469 | 36.4 | 79 |
| 2.363 | 38.1 | 62 |

Structure:
Unit cell a=10.338 b=7.473 c=8.416 alpha=90.00 beta=108.77 gamma=90.00
Space group C2/c (No. 15)
Inequivalent atoms, fractional coordinates:
1 Hf 0.000 0.075 0.250 [4 per cell]
2 Hf 0.100 0.260 0.967 [8 per cell]
3 Hf 0.207 0.122 0.642 [8 per cell]
4 Sb 0.000 0.445 0.250 [4 per cell]
5 C 0.000 0.000 0.000 [4 per cell]

---

Diffraction record for Ce3Bi2. The powder X-ray diffraction pattern is theoretical, not measured: it uses a DFT-relaxed cell (GGA-PBE, Alexandria) and copper Kα.
Neutral-atom scattering factors, no anomalous dispersion.

Most intense lines, 2θ = 10–90°, in order of rising 2θ:
| d (Å) | Position (°2θ) | I (rel.) |
| --- | --- | --- |
| 3.093 | 28.9 | 50 |
| 2.902 | 30.8 | 100 |
| 2.728 | 32.8 | 53 |
| 2.471 | 36.4 | 40 |
| 1.931 | 47.1 | 23 |
| 1.365 | 68.8 | 20 |

Structure:
Unit cell a=6.187 b=6.187 c=16.445 alpha=90.00 beta=90.00 gamma=90.00
Space group I4_1/amd (No. 141, origin choice 2)
Inequivalent atoms, fractional coordinates:
1 Ce 0.000 0.000 0.000 [8 per cell]
2 Ce 0.000 0.250 0.375 [4 per cell]
3 Bi 0.000 0.250 0.178 [8 per cell]

---

Diffraction record for LiSiTe2. The powder X-ray diffraction pattern is theoretical, not measured: it uses a DFT-relaxed cell (GGA-PBE, Alexandria) and copper Kα.
Neutral-atom scattering factors, no anomalous dispersion.

Most intense lines, 2θ = 10–90°, in order of rising 2θ:
| d (Å) | Position (°2θ) | I (rel.) |
| --- | --- | --- |
| 4.034 | 22.0 | 100 |
| 3.087 | 28.9 | 45 |
| 2.852 | 31.4 | 72 |
| 2.451 | 36.7 | 27 |
| 2.104 | 43.0 | 30 |
| 2.086 | 43.4 | 29 |

Structure:
Unit cell a=8.069 b=8.066 c=3.088 alpha=90.00 beta=90.71 gamma=90.00
Space group C2/m (No. 12)
Inequivalent atoms, fractional coordinates:
1 Li 0.000 0.000 0.000 [2 per cell]
2 Si 0.000 0.500 0.000 [2 per cell]
3 Te 0.250 0.250 0.000 [4 per cell]

---

Diffraction record for CaIrPb2. The powder X-ray diffraction pattern is theoretical, not measured: it uses a DFT-relaxed cell (GGA-PBE, Alexandria) and copper Kα.
Neutral-atom scattering factors, no anomalous dispersion.

Most intense lines, 2θ = 10–90°, in order of rising 2θ:
| d (Å) | Position (°2θ) | I (rel.) |
| --- | --- | --- |
| 4.810 | 18.4 | 52 |
| 2.675 | 33.5 | 35 |
| 2.580 | 34.8 | 100 |
| 2.525 | 35.5 | 32 |
| 1.836 | 49.6 | 26 |
| 1.526 | 60.7 | 25 |

Structure:
Unit cell a=3.488 b=5.350 c=10.985 alpha=90.00 beta=90.00 gamma=90.00
Space group Immm (No. 71)
Inequivalent atoms, fractional coordinates:
1 Ca 0.000 0.000 0.000 [2 per cell]
2 Ir 0.000 0.000 0.500 [2 per cell]
3 Pb 0.000 0.500 0.202 [4 per cell]

---

Diffraction record for MgSn3Rh4. The powder X-ray diffraction pattern is theoretical, not measured: it uses a DFT-relaxed cell (GGA-PBE, Alexandria) and copper Kα.
Neutral-atom scattering factors, no anomalous dispersion.

Most intense lines, 2θ = 10–90°, in order of rising 2θ:
| d (Å) | Position (°2θ) | I (rel.) |
| --- | --- | --- |
| 2.314 | 38.9 | 100 |
| 2.197 | 41.1 | 43 |
| 1.734 | 52.8 | 10 |
| 1.553 | 59.5 | 14 |
| 1.361 | 69.0 | 14 |
| 1.290 | 73.4 | 31 |

Structure:
Unit cell a=14.544 b=4.394 c=4.394 alpha=90.00 beta=107.51 gamma=90.00
Space group C2/m (No. 12)
Inequivalent atoms, fractional coordinates:
1 Mg 0.000 0.000 0.000 [2 per cell]
2 Sn 0.000 0.500 0.500 [2 per cell]
3 Sn 0.246 0.000 0.246 [4 per cell]
4 Rh 0.126 0.000 0.625 [4 per cell]
5 Rh 0.126 0.500 0.125 [4 per cell]

---

Diffraction record for Sb4Pb. The powder X-ray diffraction pattern is theoretical, not measured: it uses a DFT-relaxed cell (GGA-PBE, Alexandria) and copper Kα.
Neutral-atom scattering factors, no anomalous dispersion.

Most intense lines, 2θ = 10–90°, in order of rising 2θ:
| d (Å) | Position (°2θ) | I (rel.) |
| --- | --- | --- |
| 3.126 | 28.6 | 64 |
| 2.923 | 30.6 | 100 |
| 2.797 | 32.0 | 73 |
| 2.067 | 43.8 | 44 |
| 2.021 | 44.9 | 58 |
| 1.206 | 79.4 | 25 |

Structure:
Unit cell a=5.846 b=5.846 c=9.554 alpha=90.00 beta=90.00 gamma=90.00
Space group I4/mmm (No. 139)
Inequivalent atoms, fractional coordinates:
1 Sb 0.000 0.000 0.155 [4 per cell]
2 Sb 0.000 0.500 0.250 [4 per cell]
3 Pb 0.000 0.000 0.500 [2 per cell]